This entry pairs a crystal structure of BaZn3Pt with its simulated powder diffractogram. Radiation: Cu Kα (weighted mean of Kα1 and Kα2). Structure: a structure optimized by DFT (PBE).
No peak broadening, texture or thermal motion is included.

Principal peaks in the range 10 to 90 degrees two-theta, by intensity:
| Position (°2θ) | d_spacing | intensity |
| --- | --- | --- |
| 31.9 | 2.807 | 1000 |
| 32.5 | 2.758 | 900 |
| 39.6 | 2.275 | 803 |
| 27.7 | 3.218 | 451 |
| 46.9 | 1.936 | 413 |
| 63.0 | 1.475 | 342 |

```
data_BaZn3Pt
_chemical_formula_sum 'Ba4 Zn12 Pt4'
_cell_length_a 6.4461
_cell_length_b 6.4260
_cell_length_c 10.6989
_cell_angle_alpha 90.00
_cell_angle_beta 90.00
_cell_angle_gamma 90.00
_symmetry_space_group_name_H-M 'A m m 2'
_symmetry_Int_Tables_number 38
loop_
_symmetry_equiv_pos_as_xyz
'x,y,z'
'-x,-y,z'
'-x,y,z'
'x,-y,z'
'x,y+1/2,z+1/2'
'-x,-y+1/2,z+1/2'
'-x,y+1/2,z+1/2'
'x,-y+1/2,z+1/2'
loop_
_atom_site_label
_atom_site_type_symbol
_atom_site_fract_x
_atom_site_fract_y
_atom_site_fract_z
Ba1 Ba 0.0000 0.0000 0.0000
Ba2 Ba 0.5000 0.0000 0.4995
Zn1 Zn 0.0000 0.0000 0.6191
Zn2 Zn 0.2500 0.2493 0.7564
Zn3 Zn 0.5000 0.0000 0.1199
Pt1 Pt 0.0000 0.0000 0.3777
Pt2 Pt 0.5000 0.0000 0.8786
```